Record 1
Diffraction record for AcSiBRu3. The powder X-ray diffraction pattern is calculated, not measured: it uses a PBE-relaxed structure and a wavelength of 1.5418 Å.
Lines closer than 0.1° are merged.

Cell and atoms:
a = 5.8971 Å, b = 11.7536 Å, c = 5.9017 Å
α = 90.00°, β = 90.00°, γ = 90.00°
Space group Cmcm (No. 63)
Unique sites:
Ac (0.0000, 0.2468, 0.2500) (multiplicity 4)
Si (0.0000, 0.1108, 0.7500) (multiplicity 4)
B (0.0000, 0.4970, 0.7500) (multiplicity 4)
Ru (0.0000, 0.3172, 0.7500) (multiplicity 4)
Ru (0.2475, 0.5000, 0.0000) (multiplicity 8)

Peak list (12 most intense, 15 to 90 degrees two-theta, low angle first)
22.62°, d 3.931, rel. 12
30.42°, d 2.938, rel. 22
31.32°, d 2.856, rel. 24
34.01°, d 2.636, rel. 100
43.38°, d 2.086, rel. 34
44.23°, d 2.048, rel. 16
53.91°, d 1.701, rel. 17
54.48°, d 1.684, rel. 10
59.33°, d 1.558, rel. 7
63.03°, d 1.475, rel. 11
63.68°, d 1.461, rel. 11
73.59°, d 1.287, rel. 21

=====

Record 2
Diffraction record for Sr2TmSb3Rh4. The powder X-ray diffraction pattern is calculated, not measured: it uses a PBE-relaxed structure and a wavelength of 1.5418 Å.
Lines closer than 0.1° are merged.

Cell and atoms:
a = 4.4509 Å, b = 4.4509 Å, c = 11.4514 Å
α = 90.00°, β = 90.00°, γ = 90.00°
Space group P-4m2 (No. 115)
Unique sites:
Sr (0.0000, 0.5000, 0.2389) (multiplicity 2)
Tm (0.0000, 0.0000, 0.5000) (multiplicity 1)
Sb (0.0000, 0.5000, 0.8714) (multiplicity 2)
Sb (0.5000, 0.5000, 0.5000) (multiplicity 1)
Rh (0.0000, 0.0000, 0.0000) (multiplicity 1)
Rh (0.0000, 0.5000, 0.6420) (multiplicity 2)
Rh (0.5000, 0.5000, 0.0000) (multiplicity 1)

Peak list (12 most intense, 15 to 90 degrees two-theta, low angle first)
15.48°, d 5.726, rel. 21
21.42°, d 4.149, rel. 16
30.86°, d 2.898, rel. 40
32.46°, d 2.758, rel. 100
40.54°, d 2.225, rel. 65
42.70°, d 2.118, rel. 51
44.49°, d 2.036, rel. 24
51.80°, d 1.765, rel. 18
58.67°, d 1.574, rel. 21
61.75°, d 1.502, rel. 18
68.67°, d 1.367, rel. 22
75.23°, d 1.263, rel. 19

=====

Record 3
Diffraction record for RbYSnBr6. The powder X-ray diffraction pattern is calculated, not measured: it uses a PBE-relaxed structure and a wavelength of 1.5418 Å.
Lines closer than 0.1° are merged.

Cell and atoms:
a = 7.5983 Å, b = 7.5983 Å, c = 7.5368 Å
α = 90.00°, β = 90.00°, γ = 120.00°
Space group P312 (No. 149)
Unique sites:
Rb (0.0000, 0.0000, 0.0000) (multiplicity 1)
Y (0.3333, 0.6667, 0.5000) (multiplicity 1)
Sn (0.6667, 0.3333, 0.5000) (multiplicity 1)
Br (0.0180, 0.3793, 0.2821) (multiplicity 6)

Peak list (12 most intense, 15 to 90 degrees two-theta, low angle first)
17.89°, d 4.957, rel. 66
26.27°, d 3.392, rel. 100
29.63°, d 3.015, rel. 13
33.49°, d 2.675, rel. 94
38.10°, d 2.362, rel. 30
41.15°, d 2.193, rel. 45
43.17°, d 2.096, rel. 28
49.48°, d 1.842, rel. 12
51.52°, d 1.774, rel. 16
54.06°, d 1.696, rel. 19
65.28°, d 1.429, rel. 16
70.13°, d 1.342, rel. 16

=====

Record 4
Diffraction record for KN2F7. The powder X-ray diffraction pattern is calculated, not measured: it uses a PBE-relaxed structure and a wavelength of 1.5418 Å.
Lines closer than 0.1° are merged.

Cell and atoms:
a = 4.2876 Å, b = 6.5779 Å, c = 6.9576 Å
α = 84.82°, β = 88.88°, γ = 88.15°
Space group P1 (No. 1)
Unique sites:
K (0.0000, 0.0000, 0.0000) (multiplicity 1)
N (0.4471, 0.9100, 0.4843) (multiplicity 1)
N (0.5262, 0.5159, 0.9791) (multiplicity 1)
F (0.2134, 0.0633, 0.4426) (multiplicity 1)
F (0.2765, 0.7331, 0.4942) (multiplicity 1)
F (0.4853, 0.9303, 0.6928) (multiplicity 1)
F (0.4874, 0.3311, 0.8766) (multiplicity 1)
F (0.5030, 0.8720, 0.1190) (multiplicity 1)
F (0.5462, 0.4283, 0.1683) (multiplicity 1)
F (0.8417, 0.5532, 0.9315) (multiplicity 1)

Peak list (12 most intense, 15 to 90 degrees two-theta, low angle first)
20.73°, d 4.285, rel. 71
24.24°, d 3.672, rel. 55
24.48°, d 3.637, rel. 59
24.61°, d 3.617, rel. 59
25.72°, d 3.464, rel. 100
27.24°, d 3.274, rel. 93
27.93°, d 3.195, rel. 56
28.44°, d 3.138, rel. 45
28.74°, d 3.106, rel. 82
35.00°, d 2.564, rel. 59
36.96°, d 2.432, rel. 50
44.89°, d 2.019, rel. 43

=====

Record 5
Diffraction record for LaGePPd. The powder X-ray diffraction pattern is calculated, not measured: it uses a PBE-relaxed structure and a wavelength of 1.5418 Å.
Lines closer than 0.1° are merged.

Cell and atoms:
a = 4.2249 Å, b = 4.2249 Å, c = 9.6821 Å
α = 90.00°, β = 90.00°, γ = 90.00°
Space group P4/nmm (No. 129, origin choice 2)
Unique sites:
La (0.2500, 0.2500, 0.1854) (multiplicity 2)
Ge (0.2500, 0.2500, 0.6402) (multiplicity 2)
P (0.2500, 0.2500, 0.8793) (multiplicity 2)
Pd (0.2500, 0.7500, 0.5000) (multiplicity 2)

Peak list (12 most intense, 15 to 90 degrees two-theta, low angle first)
27.64°, d 3.227, rel. 38
28.03°, d 3.183, rel. 80
29.91°, d 2.987, rel. 31
31.34°, d 2.855, rel. 56
34.99°, d 2.565, rel. 25
35.30°, d 2.542, rel. 100
42.81°, d 2.112, rel. 77
43.07°, d 2.100, rel. 35
48.40°, d 1.881, rel. 40
51.72°, d 1.767, rel. 26
51.95°, d 1.760, rel. 30
56.64°, d 1.625, rel. 29